# Ac2TmBiO6
Computed PXRD pattern, Cu Kα. Input: DFT lattice parameters and positions (GGA-PBE).
Lines closer than 0.1° are merged.

The 12 most intense peaks (2θ = 15–90°), low angle first:
2θ/deg, d (Å), intensity, h k l
15.68, 5.653, 9, 0 0 1
27.10, 3.290, 100, 1 1 1
31.27, 2.861, 36, 2 0 0
31.65, 2.827, 12, 0 0 2
38.87, 2.317, 10, 1 1 2
44.80, 2.023, 18, 2 2 0
45.09, 2.011, 26, 2 0 2
53.15, 1.723, 33, 3 1 1
53.65, 1.708, 11, 1 1 3
55.89, 1.645, 11, 2 2 2
72.41, 1.305, 9, 3 1 3
82.81, 1.166, 9, 4 2 2

Cell and atoms:
a = 5.7218 Å, b = 5.7218 Å, c = 5.6533 Å
α = 90.00°, β = 90.00°, γ = 90.00°
Positions (direct):
1 Ac 0.0000 0.5000 0.0000
2 Ac 0.5000 0.0000 0.0000
3 Tm 0.0000 0.0000 0.5810
4 Bi 0.5000 0.5000 0.5668
5 O 0.0000 0.0000 0.2049
6 O 0.2441 0.2441 0.7420
7 O 0.2441 0.7559 0.7420
8 O 0.5000 0.5000 0.1581
9 O 0.7559 0.2441 0.7420
10 O 0.7559 0.7559 0.7420